Calculated XRD peak list of Tb5SmIr6 for λ = 1.5418 Å (Cu Kα), from a DFT-relaxed cell (GGA-PBE, Alexandria).
No peak broadening, texture or thermal motion is included.

Largest 10 diffraction maxima, by angle, 10° ≤ 2θ ≤ 90°:
- 2θ 36.16, intensity 54
- 2θ 37.17, intensity 100
- 2θ 52.00, intensity 10
- 2θ 52.14, intensity 10
- 2θ 55.07, intensity 8
- 2θ 65.68, intensity 29
- 2θ 65.76, intensity 10
- 2θ 67.67, intensity 18
- 2θ 76.74, intensity 6
- 2θ 79.15, intensity 6

Structure:
Unit cell a=4.970 b=6.671 c=7.847 alpha=90.00 beta=108.32 gamma=90.00
Fractional positions:
Tb: 0.000 0.000 0.000
Tb: 0.333 0.000 0.667
Tb: 0.333 0.500 0.666
Tb: 0.667 0.000 0.333
Tb: 0.667 0.500 0.334
Sm: 0.000 0.500 0.000
Ir: 0.168 0.249 0.336
Ir: 0.168 0.751 0.336
Ir: 0.500 0.247 0.000
Ir: 0.500 0.753 0.000
Ir: 0.832 0.249 0.664
Ir: 0.832 0.751 0.664